Record 1
Simulated X-ray powder pattern
Compound: Ca4Al6O13
Radiation: Cu Ka
Structure: a GGA-PBE-relaxed structure
No peak broadening, texture or thermal motion is included.

Peak list (10 most intense, 2θ = 10–80°, in order of rising 2θ)
Position (°2θ)  d (Å)  I (rel.)
24.57  3.623  100
31.89  2.806  28
35.02  2.562  14
37.93  2.372  32
43.25  2.092  25
45.72  1.984  9
56.82  1.620  10
58.86  1.569  26
60.86  1.522  12
68.52  1.369  10

Atomic structure:
```
Ca4Al6O13
1.0
-4.4375 4.4375 4.4375
4.4375 -4.4375 4.4375
4.4375 4.4375 -4.4375
Ca Al O
4 6 13
direct
0.0000 0.0000 0.6922
0.0000 0.6922 0.0000
0.3078 0.3078 0.3078
0.6922 0.0000 0.0000
0.2500 0.5000 0.7500
0.2500 0.7500 0.5000
0.5000 0.2500 0.7500
0.5000 0.7500 0.2500
0.7500 0.2500 0.5000
0.7500 0.5000 0.2500
0.0000 0.0000 0.0000
0.0000 0.4508 0.7298
0.0000 0.7298 0.4508
0.2702 0.2702 0.7210
0.2702 0.7210 0.2702
0.2790 0.5492 0.5492
0.4508 0.0000 0.7298
0.4508 0.7298 0.0000
0.5492 0.2790 0.5492
0.5492 0.5492 0.2790
0.7210 0.2702 0.2702
0.7298 0.0000 0.4508
0.7298 0.4508 0.0000
```


Record 2
Simulated X-ray powder pattern
Compound: SnP3O9
Radiation: Cu Ka
Structure: a GGA-PBE-relaxed structure
No peak broadening, texture or thermal motion is included.

Peak list (10 most intense, 2θ = 10–80°, in order of rising 2θ)
Position (°2θ)  d (Å)  I (rel.)
13.59  6.514  100
22.81  3.899  25
23.25  3.826  20
25.49  3.494  30
26.35  3.382  37
27.01  3.301  18
27.47  3.247  21
27.63  3.228  19
31.43  2.847  15
33.66  2.663  16

Atomic structure:
```
SnP3O9
1.0
6.6449 0.0000 0.0000
0.8843 7.0191 0.0000
1.3027 0.7283 7.7036
Sn P O
2 6 18
direct
0.0054 0.2172 0.1550
0.9946 0.7828 0.8450
0.1744 0.6931 0.2098
0.1764 0.1627 0.5513
0.3570 0.3761 0.7863
0.6430 0.6239 0.2137
0.8236 0.8373 0.4487
0.8256 0.3069 0.7902
0.0564 0.7380 0.3991
0.1015 0.5207 0.1565
0.1442 0.8707 0.0810
0.2047 0.9700 0.6527
0.2132 0.1674 0.3562
0.2848 0.2369 0.9365
0.2978 0.5885 0.7884
0.3121 0.3125 0.6047
0.3974 0.6546 0.2565
0.6026 0.3454 0.7435
0.6879 0.6875 0.3953
0.7022 0.4115 0.2116
0.7152 0.7631 0.0635
0.7868 0.8326 0.6438
0.7953 0.0300 0.3473
0.8558 0.1293 0.9190
0.8985 0.4793 0.8435
0.9436 0.2620 0.6009
```


Record 3
Simulated X-ray powder pattern
Compound: Li3BiB2O6
Radiation: Cu Ka
Structure: a GGA-PBE-relaxed structure
No peak broadening, texture or thermal motion is included.

Peak list (10 most intense, 2θ = 10–80°, in order of rising 2θ)
Position (°2θ)  d (Å)  I (rel.)
13.26  6.679  100
16.97  5.226  45
20.07  4.425  20
20.92  4.245  40
21.24  4.183  26
21.57  4.120  30
21.94  4.052  30
22.85  3.892  24
26.71  3.338  45
27.39  3.256  28

Atomic structure:
```
Li3BiB2O6
1.0
5.2310 0.0000 0.0000
-0.1228 7.3909 0.0000
-0.2617 -3.6870 7.7850
Li Bi B O
6 2 4 12
direct
0.0937 0.2315 0.2103
0.1716 0.0573 0.7337
0.3270 0.0626 0.4301
0.6730 0.9374 0.5699
0.8284 0.9427 0.2663
0.9063 0.7685 0.7897
0.4203 0.4760 0.7791
0.5797 0.5240 0.2209
0.1373 0.6969 0.4259
0.3069 0.8439 0.0733
0.6931 0.1561 0.9267
0.8627 0.3031 0.5741
0.1184 0.2634 0.5997
0.1808 0.9831 0.2054
0.2108 0.7673 0.9039
0.2166 0.4980 0.3487
0.3082 0.8511 0.5157
0.4599 0.2400 0.9017
0.5401 0.7600 0.0983
0.6918 0.1489 0.4843
0.7834 0.5020 0.6513
0.7892 0.2327 0.0961
0.8192 0.0169 0.7946
0.8816 0.7366 0.4003
```


Record 4
Simulated X-ray powder pattern
Compound: Er2CdHg
Radiation: Cu Ka
Structure: a GGA-PBE-relaxed structure
No peak broadening, texture or thermal motion is included.

Peak list (9 most intense, 2θ = 10–80°, in order of rising 2θ)
Position (°2θ)  d (Å)  I (rel.)
20.73  4.285  4
34.17  2.624  100
40.30  2.238  2
49.10  1.856  18
53.84  1.703  1
61.17  1.515  37
65.33  1.428  1
71.97  1.312  12
75.83  1.255  1

Atomic structure:
```
Er2CdHg
1.0
0.0000 3.7112 3.7112
3.7112 0.0000 3.7112
3.7112 3.7112 0.0000
Er Cd Hg
2 1 1
direct
0.2500 0.2500 0.2500
0.7500 0.7500 0.7500
0.0000 0.0000 0.0000
0.5000 0.5000 0.5000
```


Record 5
Simulated X-ray powder pattern
Compound: NdSiPt3
Radiation: Cu Ka
Structure: a GGA-PBE-relaxed structure
No peak broadening, texture or thermal motion is included.

Peak list (10 most intense, 2θ = 10–80°, in order of rising 2θ)
Position (°2θ)  d (Å)  I (rel.)
16.13  5.496  12
32.58  2.748  18
34.84  2.575  100
39.41  2.287  13
43.93  2.061  34
45.35  2.000  16
55.75  1.649  16
59.60  1.551  8
63.87  1.458  11
74.86  1.268  22

Atomic structure:
```
NdSiPt3
1.0
4.1225 0.0000 0.0000
0.0000 4.1225 0.0000
0.0000 0.0000 5.4964
Nd Si Pt
1 1 3
direct
0.0000 0.0000 0.0000
0.5000 0.5000 0.2873
0.0000 0.5000 0.5129
0.5000 0.0000 0.5129
0.5000 0.5000 0.8691
```